Computed X-ray diffraction stick pattern
Compound: SrHoZn
Radiation: Cu Kα X-rays
Structure: DFT lattice parameters and positions (PBE)
Kinematic intensities with the Lorentz-polarization factor, no thermal factor.

Cell and atoms:
Lattice parameters (Å, degrees): 4.9518 4.9518 7.8626 90.00 90.00 90.00
Positions (direct):
1 Sr 0.2500 0.2500 0.1351
2 Sr 0.7500 0.7500 0.8649
3 Ho 0.2500 0.7500 0.5000
4 Ho 0.7500 0.2500 0.5000
5 Zn 0.2500 0.2500 0.7145
6 Zn 0.7500 0.7500 0.2855

Most intense lines, 10° ≤ 2θ ≤ 80°, sorted by position:
| Position (°2θ) | I_rel |
| --- | --- |
| 11.3 | 68 |
| 27.9 | 100 |
| 29.0 | 30 |
| 34.3 | 92 |
| 36.3 | 62 |
| 52.3 | 22 |
| 60.3 | 23 |
| 64.0 | 34 |

=====

Computed X-ray diffraction stick pattern
Compound: HfAg3Au6
Radiation: Cu Kα X-rays
Structure: DFT lattice parameters and positions (PBE)
Kinematic intensities with the Lorentz-polarization factor, no thermal factor.

Cell and atoms:
Lattice parameters (Å, degrees): 9.0296 4.2925 9.5013 90.00 93.61 90.00
Positions (direct):
1 Hf 0.0637 0.2500 0.3822
2 Hf 0.9363 0.7500 0.6178
3 Ag 0.2509 0.2500 0.9913
4 Ag 0.3413 0.7500 0.7992
5 Ag 0.4489 0.2500 0.5984
6 Ag 0.5511 0.7500 0.4016
7 Ag 0.6587 0.2500 0.2008
8 Ag 0.7491 0.7500 0.0087
9 Au 0.0441 0.7500 0.9015
10 Au 0.1364 0.2500 0.6855
11 Au 0.1588 0.7500 0.1958
12 Au 0.2395 0.7500 0.4988
13 Au 0.3593 0.2500 0.2950
14 Au 0.4552 0.7500 0.0993
15 Au 0.5448 0.2500 0.9007
16 Au 0.6407 0.7500 0.7050
17 Au 0.7605 0.2500 0.5012
18 Au 0.8412 0.2500 0.8042
19 Au 0.8636 0.7500 0.3145
20 Au 0.9559 0.2500 0.0985

Most intense lines, 10° ≤ 2θ ≤ 80°, sorted by position:
| Position (°2θ) | I_rel |
| --- | --- |
| 37.2 | 100 |
| 41.9 | 17 |
| 42.1 | 18 |
| 45.7 | 14 |
| 60.9 | 12 |
| 63.8 | 15 |
| 73.4 | 6 |
| 73.7 | 14 |

=====

Computed X-ray diffraction stick pattern
Compound: La2NdSm9
Radiation: Cu Kα X-rays
Structure: DFT lattice parameters and positions (PBE)
Kinematic intensities with the Lorentz-polarization factor, no thermal factor.

Cell and atoms:
Lattice parameters (Å, degrees): 11.5747 11.5747 3.5552 90.00 90.00 120.00
Positions (direct):
1 La 0.3333 0.6667 0.0000
2 La 0.6667 0.3333 0.0000
3 Nd 0.0000 0.0000 0.0000
4 Sm 0.0000 0.5000 0.0000
5 Sm 0.1718 0.3435 0.5000
6 Sm 0.1718 0.8282 0.5000
7 Sm 0.3435 0.1718 0.5000
8 Sm 0.5000 0.0000 0.0000
9 Sm 0.5000 0.5000 0.0000
10 Sm 0.6565 0.8282 0.5000
11 Sm 0.8282 0.1718 0.5000
12 Sm 0.8282 0.6565 0.5000

Most intense lines, 10° ≤ 2θ ≤ 80°, sorted by position:
| Position (°2θ) | I_rel |
| --- | --- |
| 29.5 | 15 |
| 30.9 | 100 |
| 34.6 | 8 |
| 36.9 | 9 |
| 44.2 | 13 |
| 54.9 | 26 |
| 61.2 | 19 |
| 78.6 | 9 |

=====

Computed X-ray diffraction stick pattern
Compound: Sc3Ga4Pt
Radiation: Cu Kα X-rays
Structure: DFT lattice parameters and positions (PBE)
Kinematic intensities with the Lorentz-polarization factor, no thermal factor.

Cell and atoms:
Lattice parameters (Å, degrees): 9.1852 9.1852 9.1852 160.25 144.29 41.13
Positions (direct):
1 Sc 0.0000 0.0000 0.0000
2 Sc 0.2643 0.7643 0.5000
3 Sc 0.7357 0.2357 0.5000
4 Ga 0.1207 0.3783 0.7424
5 Ga 0.3642 0.6217 0.7424
6 Ga 0.6358 0.3783 0.2576
7 Ga 0.8793 0.6217 0.2576
8 Pt 0.5000 0.5000 0.0000

Most intense lines, 10° ≤ 2θ ≤ 80°, sorted by position:
| Position (°2θ) | I_rel |
| --- | --- |
| 10.3 | 71 |
| 16.6 | 42 |
| 28.8 | 70 |
| 34.2 | 76 |
| 38.2 | 100 |
| 42.0 | 36 |
| 45.7 | 31 |
| 46.0 | 42 |